Diffraction record for Tb4PrHoSe8. The powder diffraction line list is computed, not measured: it uses a structure optimized by DFT (GGA-PBE) and copper Kα.
Kinematic intensities with the Lorentz-polarization factor, no thermal factor.

Top 10 peaks for 2θ = 10–90°, low angle first:
two_theta  I (rel.)  hkl
12.8  145  1 0 1
20.9  257  1 1 0
24.6  948  0 1 5
29.7  517  0 2 4
36.6  112  3 0 0
39.0  519  1 2 5
42.6  1000  2 0 8
59.0  170  4 1 3
61.8  157  0 4 8
77.9  231  4 2 8

```
data_Tb4PrHoSe8
_symmetry_space_group_name_H-M 'R 3 m'
_symmetry_Int_Tables_number 160
_symmetry_space_group_name_Hall 'R 3 -2"'
_cell_length_a 8.5027
_cell_length_b 8.5027
_cell_length_c 20.7711
_cell_angle_alpha 90.00
_cell_angle_beta 90.00
_cell_angle_gamma 120.00
loop_
_atom_site_label
_atom_site_type_symbol
_atom_site_fract_x
_atom_site_fract_y
_atom_site_fract_z
Tb1 Tb 0.0000 0.0000 0.0000
Tb2 Tb 0.0025 0.5012 0.8758
Pr1 Pr 0.0000 0.0000 0.7510
Ho1 Ho 0.0000 0.0000 0.3749
Se1 Se 0.0000 0.0000 0.1321
Se2 Se 0.0000 0.0000 0.6148
Se3 Se 0.0312 0.5156 0.1285
Se4 Se 0.1771 0.3542 0.9575
```